# 1
Starting from DFT lattice parameters and positions (GGA-PBE), the X-ray diffraction stick pattern of Gd2P4O13 was calculated for Cu Kα (λ = 1.5418 Å).
Kinematic intensities with the Lorentz-polarization factor, no thermal factor.

Structure:
Lattice parameters (Å, degrees): 9.5508 9.5508 8.7389 90.00 90.00 135.74
Fractional coordinates of all 38 atoms:
Gd: 0.1047 0.3962 0.1449
Gd: 0.3962 0.1047 0.8551
Gd: 0.6038 0.8953 0.3551
Gd: 0.8953 0.6038 0.6449
P: 0.0815 0.4009 0.5000
P: 0.2246 0.3526 0.7714
P: 0.3526 0.2246 0.2286
P: 0.4009 0.0815 0.5000
P: 0.5991 0.9185 0.0000
P: 0.6474 0.7754 0.7286
P: 0.7754 0.6474 0.2714
P: 0.9185 0.5991 0.0000
O: 0.0153 0.4716 0.6031
O: 0.0767 0.7636 0.8842
O: 0.0973 0.3264 0.8942
O: 0.1227 0.2930 0.6060
O: 0.2364 0.9233 0.6158
O: 0.2487 0.2877 0.2072
O: 0.2702 0.5680 0.4031
O: 0.2877 0.2487 0.7928
O: 0.2930 0.1227 0.3940
O: 0.3264 0.0973 0.1058
O: 0.4112 0.5888 0.7500
O: 0.4320 0.7298 0.0969
O: 0.4716 0.0153 0.3969
O: 0.5284 0.9847 0.8969
O: 0.5680 0.2702 0.5969
O: 0.5888 0.4112 0.2500
O: 0.6736 0.9027 0.6058
O: 0.7070 0.8773 0.8940
O: 0.7123 0.7513 0.2928
O: 0.7298 0.4320 0.9031
O: 0.7513 0.7123 0.7072
O: 0.7636 0.0767 0.1158
O: 0.8773 0.7070 0.1060
O: 0.9027 0.6736 0.3942
O: 0.9233 0.2364 0.3842
O: 0.9847 0.5284 0.1031

Peak list (8 most intense, 15 to 90 degrees two-theta, sorted by position)
| 2θ/deg | I_rel |
| --- | --- |
| 20.1 | 89 |
| 22.5 | 50 |
| 24.4 | 90 |
| 24.7 | 100 |
| 32.1 | 43 |
| 33.6 | 41 |
| 36.6 | 45 |
| 49.4 | 40 |

=====

# 2
Starting from DFT lattice parameters and positions (GGA-PBE), the X-ray diffraction stick pattern of GdP3O9 was calculated for Cu Kα (λ = 1.5418 Å).
Kinematic intensities with the Lorentz-polarization factor, no thermal factor.

Structure:
Lattice parameters (Å, degrees): 7.0326 7.0326 7.3045 90.00 90.00 105.17
Fractional coordinates of all 26 atoms:
Gd: 0.1266 0.1266 0.0000
Gd: 0.8734 0.8734 0.5000
P: 0.2504 0.2504 0.5000
P: 0.3115 0.6661 0.9559
P: 0.3339 0.6885 0.5441
P: 0.6661 0.3115 0.0441
P: 0.6885 0.3339 0.4559
P: 0.7496 0.7496 0.0000
O: 0.1333 0.1716 0.6707
O: 0.1716 0.1333 0.3293
O: 0.1722 0.7890 0.5327
O: 0.2110 0.8278 0.9673
O: 0.2144 0.4691 0.0363
O: 0.2519 0.4720 0.4545
O: 0.3716 0.6284 0.7500
O: 0.4691 0.2144 0.9637
O: 0.4720 0.2519 0.5455
O: 0.5280 0.7481 0.0455
O: 0.5309 0.7856 0.4637
O: 0.6284 0.3716 0.2500
O: 0.7481 0.5280 0.9545
O: 0.7856 0.5309 0.5363
O: 0.7890 0.1722 0.4673
O: 0.8278 0.2110 0.0327
O: 0.8284 0.8667 0.8293
O: 0.8667 0.8284 0.1707

Peak list (8 most intense, 15 to 90 degrees two-theta, sorted by position)
| 2θ/deg | I_rel |
| --- | --- |
| 15.9 | 78 |
| 17.8 | 47 |
| 24.1 | 45 |
| 24.4 | 100 |
| 26.1 | 73 |
| 29.0 | 63 |
| 34.7 | 35 |
| 45.8 | 37 |

=====

# 3
Starting from DFT lattice parameters and positions (GGA-PBE), the X-ray diffraction stick pattern of YbGdP2O8 was calculated for Cu Kα (λ = 1.5418 Å).
Kinematic intensities with the Lorentz-polarization factor, no thermal factor.

Structure:
Lattice parameters (Å, degrees): 5.8308 5.8308 5.8308 106.02 106.02 116.61
Fractional coordinates of all 12 atoms:
Yb: 0.0000 0.0000 0.0000
Gd: 0.2500 0.7500 0.5000
P: 0.5000 0.5000 0.0000
P: 0.7500 0.2500 0.5000
O: 0.3420 0.1689 0.8269
O: 0.3420 0.5151 0.1731
O: 0.4189 0.0928 0.3260
O: 0.4849 0.6580 0.8269
O: 0.7668 0.0928 0.6740
O: 0.8311 0.6580 0.1731
O: 0.9072 0.2332 0.3260
O: 0.9072 0.5811 0.6740

Peak list (8 most intense, 15 to 90 degrees two-theta, sorted by position)
| 2θ/deg | I_rel |
| --- | --- |
| 19.2 | 59 |
| 25.4 | 100 |
| 32.0 | 27 |
| 34.4 | 68 |
| 36.2 | 22 |
| 41.3 | 21 |
| 49.1 | 22 |
| 50.8 | 54 |

=====

# 4
Starting from DFT lattice parameters and positions (GGA-PBE), the X-ray diffraction stick pattern of PmGdO was calculated for Cu Kα (λ = 1.5418 Å).
Kinematic intensities with the Lorentz-polarization factor, no thermal factor.

Structure:
Lattice parameters (Å, degrees): 3.6172 3.6172 5.9280 90.00 90.00 120.00
Fractional coordinates of all 3 atoms:
Pm: 0.0000 0.0000 0.0000
Gd: 0.3333 0.6667 0.4622
O: 0.6667 0.3333 0.2512

Peak list (8 most intense, 15 to 90 degrees two-theta, sorted by position)
| 2θ/deg | I_rel |
| --- | --- |
| 28.5 | 18 |
| 30.2 | 23 |
| 32.3 | 100 |
| 42.0 | 22 |
| 50.5 | 21 |
| 54.9 | 21 |
| 59.9 | 20 |
| 61.2 | 16 |

=====

# 5
Starting from DFT lattice parameters and positions (GGA-PBE), the X-ray diffraction stick pattern of Pr2GdO was calculated for Cu Kα (λ = 1.5418 Å).
Kinematic intensities with the Lorentz-polarization factor, no thermal factor.

Structure:
Lattice parameters (Å, degrees): 9.6999 9.6999 9.6999 21.79 21.79 21.79
Fractional coordinates of all 4 atoms:
Pr: 0.1181 0.1181 0.1181
Pr: 0.8819 0.8819 0.8819
Gd: 0.0000 0.0000 0.0000
O: 0.5000 0.5000 0.5000

Peak list (8 most intense, 15 to 90 degrees two-theta, sorted by position)
| 2θ/deg | I_rel |
| --- | --- |
| 28.3 | 100 |
| 28.8 | 21 |
| 35.9 | 22 |
| 38.0 | 51 |
| 42.7 | 16 |
| 49.7 | 25 |
| 58.2 | 34 |
| 62.9 | 15 |